Starting from a cell relaxed with GGA+U, the powder diffractogram of MgMn6O6F6 was computed for Cu Kα (weighted mean of Kα1 and Kα2).
Intensities are scaled so that the largest is 100.

Most intense lines, 2θ from 5° to 70°, most intense first:
2θ 25.80, rel. 100, hkl 1 1 0; 2θ 25.62, rel. 99, hkl 1 -1 0; 2θ 33.26, rel. 65, hkl 0 1 -3; 2θ 34.05, rel. 55, hkl 0 1 3; 2θ 38.17, rel. 54, hkl 1 1 -3; 2θ 49.97, rel. 43, hkl 1 2 -3; 2θ 39.02, rel. 41, hkl 1 1 3; 2θ 58.34, rel. 36, hkl 0 0 6

Crystal structure
```
MgMn6O6F6
1.0
4.869 0.000 0.000
-0.035 4.933 0.000
-0.049 -0.238 9.491
Mg Mn O F
1 6 6 6
Direct
0.000 0.000 0.000
0.434 0.096 0.498
0.489 0.002 0.189
0.508 0.018 0.807
0.661 0.533 0.999
0.940 0.528 0.661
0.989 0.583 0.336
0.128 0.365 0.494
0.292 0.855 0.344
0.625 0.143 0.010
0.630 0.267 0.656
0.798 0.730 0.832
0.803 0.752 0.170
0.139 0.233 0.848
0.160 0.244 0.155
0.255 0.807 0.663
0.286 0.734 0.010
0.665 0.301 0.328
0.752 0.800 0.501
```



Starting from a cell relaxed with GGA+U, the powder diffractogram of MgMn6O10F2 was computed for Cu Kα (weighted mean of Kα1 and Kα2).
Intensities are scaled so that the largest is 100.

Most intense lines, 2θ from 5° to 70°, most intense first:
2θ 23.06, rel. 100, hkl -1 1 1; 2θ 27.85, rel. 67, hkl 1 1 -1; 2θ 35.59, rel. 31, hkl 0 1 -3; 2θ 48.57, rel. 23, hkl 2 -3 1; 2θ 35.15, rel. 22, hkl 1 -2 2; 2θ 35.26, rel. 21, hkl 1 0 2; 2θ 38.37, rel. 16, hkl 0 0 3; 2θ 49.51, rel. 16, hkl 1 0 -4

Crystal structure
```
MgMn6O10F2
1.0
5.715 0.000 0.000
-2.334 5.450 0.000
-1.161 -2.877 7.037
Mg Mn O F
1 6 10 2
Direct
0.000 0.000 0.000
0.311 0.523 0.366
0.353 0.962 0.818
0.618 0.969 0.161
0.661 0.443 0.638
0.960 0.512 0.023
0.999 0.947 0.473
0.013 0.676 0.830
0.234 0.804 0.549
0.287 0.286 0.501
0.332 0.675 0.169
0.402 0.119 0.088
0.575 0.827 0.896
0.634 0.271 0.821
0.687 0.665 0.491
0.867 0.821 0.185
0.950 0.291 0.172
0.103 0.128 0.794
0.737 0.137 0.441
```



Starting from a cell relaxed with GGA+U, the powder diffractogram of MgMn6O10F2 was computed for Cu Kα (weighted mean of Kα1 and Kα2).
Intensities are scaled so that the largest is 100.

Most intense lines, 2θ from 5° to 70°, most intense first:
2θ 23.16, rel. 100, hkl 1 1 1; 2θ 27.73, rel. 82, hkl -1 1 1; 2θ 35.46, rel. 24, hkl 2 0 0; 2θ 35.59, rel. 23, hkl 0 2 -1; 2θ 36.53, rel. 22, hkl 0 0 3; 2θ 35.33, rel. 20, hkl 1 1 -2; 2θ 29.93, rel. 19, hkl 1 1 2; 2θ 39.48, rel. 19, hkl 1 0 3

Crystal structure
```
MgMn6O10F2
1.0
5.144 0.000 0.000
0.922 5.694 0.000
0.740 1.018 7.380
Mg Mn O F
1 6 10 2
Direct
0.000 0.000 0.000
0.050 0.412 0.214
0.476 0.528 0.491
0.500 0.854 0.166
0.503 0.165 0.824
0.879 0.630 0.800
0.950 0.992 0.479
0.134 0.689 0.577
0.154 0.050 0.242
0.351 0.571 0.253
0.372 0.881 0.928
0.602 0.464 0.729
0.627 0.147 0.054
0.630 0.806 0.403
0.795 0.317 0.404
0.828 0.994 0.742
0.846 0.684 0.074
0.130 0.326 0.918
0.335 0.214 0.589
```



Starting from a cell relaxed with GGA+U, the powder diffractogram of MgMn6O10F2 was computed for Cu Kα (weighted mean of Kα1 and Kα2).
Intensities are scaled so that the largest is 100.

Most intense lines, 2θ from 5° to 70°, most intense first:
2θ 27.59, rel. 100, hkl 0 1 3; 2θ 25.01, rel. 98, hkl 0 1 -3; 2θ 34.74, rel. 62, hkl 1 -1 0; 2θ 35.96, rel. 30, hkl 1 0 3; 2θ 34.90, rel. 29, hkl 1 1 0; 2θ 36.46, rel. 25, hkl 0 2 0; 2θ 61.28, rel. 22, hkl 2 0 0; 2θ 29.89, rel. 21, hkl 0 1 -4

Crystal structure
```
MgMn6O10F2
1.0
3.027 0.000 0.000
-0.014 4.951 0.000
-0.488 -1.356 13.972
Mg Mn O F
1 6 10 2
Direct
0.000 0.000 0.000
0.000 0.949 0.486
0.050 0.940 0.804
0.482 0.413 0.339
0.502 0.508 0.972
0.529 0.404 0.660
0.955 0.879 0.196
0.021 0.666 0.908
0.036 0.249 0.725
0.463 0.088 0.247
0.482 0.139 0.907
0.492 0.742 0.428
0.507 0.825 0.074
0.512 0.096 0.563
0.549 0.749 0.743
0.972 0.557 0.270
0.991 0.252 0.402
0.015 0.575 0.591
0.964 0.360 0.062
```



Starting from a cell relaxed with GGA+U, the powder diffractogram of MgMn6O6F6 was computed for Cu Kα (weighted mean of Kα1 and Kα2).
Intensities are scaled so that the largest is 100.

Most intense lines, 2θ from 5° to 70°, most intense first:
2θ 25.12, rel. 100, hkl 1 1 0; 2θ 25.30, rel. 98, hkl 1 -1 0; 2θ 33.15, rel. 36, hkl 0 1 3; 2θ 51.05, rel. 33, hkl 1 -2 3; 2θ 51.56, rel. 32, hkl 2 2 0; 2θ 33.98, rel. 32, hkl 1 0 3; 2θ 34.69, rel. 27, hkl 0 1 -3; 2θ 49.20, rel. 26, hkl -1 2 3

Crystal structure
```
MgMn6O6F6
1.0
4.919 0.000 0.000
0.040 5.082 0.000
0.149 0.461 9.285
Mg Mn O F
1 6 6 6
Direct
0.000 0.000 0.000
0.015 0.421 0.654
0.043 0.462 0.332
0.468 0.939 0.177
0.528 0.010 0.818
0.533 0.014 0.494
0.933 0.510 0.996
0.137 0.707 0.149
0.336 0.168 0.333
0.360 0.182 0.654
0.655 0.806 0.992
0.838 0.261 0.843
0.841 0.263 0.483
0.174 0.774 0.846
0.216 0.678 0.501
0.307 0.230 0.001
0.700 0.762 0.345
0.707 0.777 0.654
0.825 0.220 0.154
```



Starting from a cell relaxed with GGA+U, the powder diffractogram of MgMn6O5F7 was computed for Cu Kα (weighted mean of Kα1 and Kα2).
Intensities are scaled so that the largest is 100.

Most intense lines, 2θ from 5° to 70°, most intense first:
2θ 26.41, rel. 100, hkl 1 1 2; 2θ 23.77, rel. 91, hkl 1 -1 0; 2θ 33.98, rel. 57, hkl 1 0 -2; 2θ 32.97, rel. 40, hkl 1 2 0; 2θ 33.60, rel. 28, hkl 2 1 0; 2θ 48.64, rel. 27, hkl 2 -2 0; 2θ 52.29, rel. 24, hkl 1 0 4; 2θ 51.08, rel. 22, hkl 3 2 2

Crystal structure
```
MgMn6O5F7
1.0
5.905 0.000 0.000
1.344 5.941 0.000
2.157 1.820 6.802
Mg Mn O F
1 6 5 7
Direct
0.000 0.000 0.000
0.362 0.829 0.667
0.393 0.802 0.197
0.583 0.275 0.848
0.647 0.201 0.339
0.955 0.527 0.492
0.988 0.509 0.010
0.236 0.714 0.964
0.454 0.961 0.384
0.622 0.580 0.657
0.761 0.285 0.046
0.861 0.429 0.293
0.078 0.105 0.705
0.079 0.590 0.712
0.257 0.168 0.008
0.327 0.470 0.364
0.594 0.108 0.632
0.724 0.862 0.992
0.990 0.879 0.295
```